Entry 1:
Computed XRD peak list
Compound: CoNi2Hg2O6
Radiation: CuKα
Structure: a cell relaxed with PBE+U
Peak positions follow from Bragg's law for the DFT cell and can differ from measured ones.

Crystal structure
a b c (Å): 4.891 4.891 7.121
angles (deg): 92.76 92.76 120.17
Atoms (fractional coordinates):
Co  0.000  0.000  0.000
Ni  0.334  0.666  0.000
Ni  0.666  0.334  0.000
Hg  0.164  0.836  0.500
Hg  0.836  0.164  0.500
O  0.018  0.356  0.136
O  0.317  0.317  0.863
O  0.356  0.018  0.136
O  0.644  0.982  0.864
O  0.683  0.683  0.137
O  0.982  0.644  0.864

Top 10 peaks for 10° ≤ 2θ ≤ 90°, by intensity:
| d_spacing | I_rel |
| --- | --- |
| 3.544 | 100.0 |
| 2.275 | 73.6 |
| 2.345 | 49.9 |
| 4.213 | 35.8 |
| 2.100 | 32.2 |
| 2.428 | 30.4 |
| 3.763 | 30.0 |
| 1.658 | 29.7 |
| 1.741 | 26.7 |
| 3.495 | 24.9 |

Entry 2:
Computed XRD peak list
Compound: Co2HgO4
Radiation: CuKα
Structure: a cell relaxed with PBE+U
Peak positions follow from Bragg's law for the DFT cell and can differ from measured ones.

Crystal structure
a b c (Å): 5.688 11.519 4.910
angles (deg): 90.00 90.00 90.00
Atoms (fractional coordinates):
Co  0.000  0.000  0.000
Co  0.000  0.500  0.000
Co  0.250  0.006  0.496
Co  0.250  0.494  0.496
Co  0.500  0.000  0.000
Co  0.500  0.500  0.000
Co  0.750  0.506  0.504
Co  0.750  0.994  0.504
Hg  0.250  0.250  0.882
Hg  0.250  0.750  0.573
Hg  0.750  0.250  0.427
Hg  0.750  0.750  0.118
O  0.001  0.090  0.667
O  0.001  0.410  0.667
O  0.250  0.087  0.155
O  0.250  0.413  0.155
O  0.250  0.583  0.823
O  0.250  0.917  0.823
O  0.499  0.090  0.667
O  0.499  0.410  0.667
O  0.501  0.590  0.333
O  0.501  0.910  0.333
O  0.750  0.083  0.177
O  0.750  0.417  0.177
O  0.750  0.587  0.845
O  0.750  0.913  0.845
O  0.999  0.590  0.333
O  0.999  0.910  0.333

Top 10 peaks for 10° ≤ 2θ ≤ 90°, by intensity:
| d_spacing | I_rel |
| --- | --- |
| 3.537 | 100.0 |
| 2.671 | 52.3 |
| 2.880 | 45.8 |
| 3.123 | 34.8 |
| 2.550 | 32.1 |
| 2.069 | 29.3 |
| 1.870 | 29.3 |
| 3.717 | 26.8 |
| 2.844 | 21.9 |
| 1.835 | 20.1 |